1.
This entry pairs a crystal structure of YSb3F15 with its calculated powder X-ray diffraction pattern. Radiation: Cu Kα. Structure: a structure optimized by DFT (GGA-PBE).
No peak broadening, texture or thermal motion is included.

Structure:
abc: 5.843 11.361 10.575
angles: 90.00 104.48 90.00
Space group P2_1/m (No. 11)
One atom of each set of equivalent atoms:
Y  0.242  0.250  0.218 [2 per cell]
Sb  0.000  0.000  0.500 [2 per cell]
Sb  0.378  0.064  0.846 [4 per cell]
F  0.020  0.569  0.671 [4 per cell]
F  0.114  0.750  0.842 [2 per cell]
F  0.136  0.123  0.929 [4 per cell]
F  0.228  0.111  0.601 [4 per cell]
F  0.250  0.596  0.477 [4 per cell]
F  0.338  0.250  0.412 [2 per cell]
F  0.361  0.582  0.987 [4 per cell]
F  0.399  0.073  0.199 [4 per cell]
F  0.454  0.250  0.825 [2 per cell]

Largest 12 diffraction maxima, low angle first, 2θ from 10° to 90°:
15.60 deg, rel. 40; 15.89 deg, rel. 70; 17.51 deg, rel. 38; 21.75 deg, rel. 24; 22.34 deg, rel. 100; 23.39 deg, rel. 14; 25.07 deg, rel. 29; 26.11 deg, rel. 36; 26.24 deg, rel. 20; 29.34 deg, rel. 14; 30.67 deg, rel. 18; 38.22 deg, rel. 13

2.
This entry pairs a crystal structure of ZnSbF6 with its calculated powder X-ray diffraction pattern. Radiation: Cu Kα. Structure: a structure optimized by DFT (GGA-PBE).
No peak broadening, texture or thermal motion is included.

Structure:
abc: 5.5487 5.5487 14.2019
angles: 90.00 90.00 120.00
Space group R-3 (No. 148, hexagonal axes)
One atom of each set of equivalent atoms:
Zn  0.0000  0.0000  0.0000 [3 per cell]
Sb  0.0000  0.0000  0.5000 [3 per cell]
F  0.0011  0.5922  0.2504 [18 per cell]

Largest 12 diffraction maxima, low angle first, 2θ from 10° to 90°:
19.50 deg, rel. 7; 22.34 deg, rel. 100; 31.32 deg, rel. 24; 32.27 deg, rel. 16; 37.58 deg, rel. 9; 39.60 deg, rel. 7; 45.59 deg, rel. 20; 50.70 deg, rel. 27; 51.97 deg, rel. 17; 56.95 deg, rel. 10; 57.54 deg, rel. 8; 72.11 deg, rel. 8

3.
This entry pairs a crystal structure of ZnSbF5 with its calculated powder X-ray diffraction pattern. Radiation: Cu Kα. Structure: a structure optimized by DFT (GGA-PBE).
No peak broadening, texture or thermal motion is included.

Structure:
abc: 9.209 6.521 8.980
angles: 90.00 119.65 90.00
Space group Cc (No. 9)
One atom of each set of equivalent atoms:
Zn  0.000  0.001  0.000 [4 per cell]
Sb  0.499  0.019  0.254 [4 per cell]
F  0.003  0.357  0.552 [4 per cell]
F  0.031  0.230  0.157 [4 per cell]
F  0.236  0.044  0.575 [4 per cell]
F  0.265  0.439  0.874 [4 per cell]
F  0.471  0.338  0.287 [4 per cell]

Largest 12 diffraction maxima, low angle first, 2θ from 10° to 90°:
22.22 deg, rel. 62; 24.07 deg, rel. 100; 27.35 deg, rel. 29; 32.87 deg, rel. 20; 33.10 deg, rel. 19; 35.52 deg, rel. 14; 40.17 deg, rel. 13; 45.33 deg, rel. 15; 46.41 deg, rel. 21; 49.28 deg, rel. 16; 51.81 deg, rel. 13; 52.12 deg, rel. 22

4.
This entry pairs a crystal structure of ZnSbF5 with its calculated powder X-ray diffraction pattern. Radiation: Cu Kα. Structure: a structure optimized by DFT (GGA-PBE).
No peak broadening, texture or thermal motion is included.

Structure:
abc: 5.742 10.392 8.485
angles: 90.00 118.80 90.00
Space group P2_1/c (No. 14)
One atom of each set of equivalent atoms:
Zn  0.027  0.009  0.288 [4 per cell]
Sb  0.436  0.239  0.157 [4 per cell]
F  0.124  0.110  0.126 [4 per cell]
F  0.148  0.111  0.522 [4 per cell]
F  0.280  0.630  0.878 [4 per cell]
F  0.299  0.191  0.898 [4 per cell]
F  0.336  0.566  0.310 [4 per cell]

Largest 12 diffraction maxima, low angle first, 2θ from 10° to 90°:
19.60 deg, rel. 22; 23.47 deg, rel. 30; 23.94 deg, rel. 16; 24.63 deg, rel. 100; 25.45 deg, rel. 45; 27.84 deg, rel. 40; 31.93 deg, rel. 13; 44.51 deg, rel. 15; 45.01 deg, rel. 14; 47.73 deg, rel. 20; 50.85 deg, rel. 23; 56.15 deg, rel. 17

5.
This entry pairs a crystal structure of ScF3 with its calculated powder X-ray diffraction pattern. Radiation: Cu Kα. Structure: a structure optimized by DFT (GGA-PBE).
No peak broadening, texture or thermal motion is included.

Structure:
abc: 5.7474 5.7474 14.0507
angles: 90.00 90.00 120.00
Space group R-3c (No. 167, hexagonal axes)
One atom of each set of equivalent atoms:
Sc  0.0000  0.0000  0.0000 [6 per cell]
F  0.0000  0.4765  0.2500 [18 per cell]

Largest 12 diffraction maxima, low angle first, 2θ from 10° to 90°:
21.88 deg, rel. 100; 31.14 deg, rel. 11; 44.62 deg, rel. 32; 50.23 deg, rel. 34; 55.39 deg, rel. 4; 64.95 deg, rel. 16; 69.40 deg, rel. 11; 69.52 deg, rel. 3; 73.78 deg, rel. 2; 82.18 deg, rel. 3; 86.31 deg, rel. 2; 86.44 deg, rel. 3

6.
This entry pairs a crystal structure of ScF3 with its calculated powder X-ray diffraction pattern. Radiation: Cu Kα. Structure: a structure optimized by DFT (GGA-PBE).
No peak broadening, texture or thermal motion is included.

Structure:
abc: 5.7455 5.7455 7.0683
angles: 90.00 90.00 120.00
Space group R32 (No. 155, hexagonal axes)
One atom of each set of equivalent atoms:
Sc  0.0000  0.0000  0.0000 [3 per cell]
F  0.0000  0.4884  0.5000 [9 per cell]

Largest 12 diffraction maxima, low angle first, 2θ from 10° to 90°:
21.84 deg, rel. 100; 31.09 deg, rel. 12; 44.54 deg, rel. 33; 50.07 deg, rel. 18; 50.20 deg, rel. 17; 55.36 deg, rel. 3; 64.70 deg, rel. 9; 64.92 deg, rel. 8; 69.28 deg, rel. 5; 69.39 deg, rel. 6; 82.15 deg, rel. 4; 86.03 deg, rel. 3

7.
This entry pairs a crystal structure of ScF3 with its calculated powder X-ray diffraction pattern. Radiation: Cu Kα. Structure: a structure optimized by DFT (GGA-PBE).
No peak broadening, texture or thermal motion is included.

Structure:
abc: 5.472 6.966 4.815
angles: 90.00 90.00 90.00
Space group Pnma (No. 62)
One atom of each set of equivalent atoms:
Sc  0.131  0.250  0.040 [4 per cell]
F  0.056  0.750  0.324 [4 per cell]
F  0.153  0.575  0.819 [8 per cell]

Largest 12 diffraction maxima, low angle first, 2θ from 10° to 90°:
24.63 deg, rel. 79; 25.57 deg, rel. 65; 27.81 deg, rel. 100; 43.05 deg, rel. 46; 43.26 deg, rel. 28; 45.82 deg, rel. 25; 46.22 deg, rel. 45; 46.48 deg, rel. 61; 51.63 deg, rel. 43; 52.29 deg, rel. 58; 53.74 deg, rel. 23; 66.36 deg, rel. 20

8.
This entry pairs a crystal structure of ScF3 with its calculated powder X-ray diffraction pattern. Radiation: Cu Kα. Structure: a structure optimized by DFT (GGA-PBE).
No peak broadening, texture or thermal motion is included.

Structure:
abc: 3.688 7.051 3.350
angles: 90.00 95.33 90.00
Space group C2 (No. 5)
One atom of each set of equivalent atoms:
Sc  0.000  0.000  0.000 [2 per cell]
F  0.000  0.498  0.500 [2 per cell]
F  0.237  0.761  0.817 [4 per cell]

Largest 12 diffraction maxima, low angle first, 2θ from 10° to 90°:
25.26 deg, rel. 19; 26.73 deg, rel. 42; 27.38 deg, rel. 29; 36.95 deg, rel. 100; 40.26 deg, rel. 89; 51.87 deg, rel. 34; 52.56 deg, rel. 38; 55.11 deg, rel. 28; 56.51 deg, rel. 49; 61.25 deg, rel. 9; 61.51 deg, rel. 28; 79.08 deg, rel. 13

9.
This entry pairs a crystal structure of ScF3 with its calculated powder X-ray diffraction pattern. Radiation: Cu Kα. Structure: a structure optimized by DFT (GGA-PBE).
No peak broadening, texture or thermal motion is included.

Structure:
abc: 4.070 4.070 4.070
angles: 90.00 90.00 90.00
Space group Pm-3m (No. 221)
One atom of each set of equivalent atoms:
Sc  0.000  0.000  0.000 [1 per cell]
F  0.000  0.000  0.500 [3 per cell]

Largest 11 diffraction maxima, low angle first, 2θ from 10° to 90°:
21.84 deg, rel. 100; 31.08 deg, rel. 11; 38.31 deg, rel. 1; 44.53 deg, rel. 33; 50.12 deg, rel. 34; 55.29 deg, rel. 4; 64.80 deg, rel. 17; 69.26 deg, rel. 14; 73.60 deg, rel. 2; 82.02 deg, rel. 5; 86.16 deg, rel. 6

10.
This entry pairs a crystal structure of ScF3 with its calculated powder X-ray diffraction pattern. Radiation: Cu Kα. Structure: a structure optimized by DFT (GGA-PBE).
No peak broadening, texture or thermal motion is included.

Structure:
abc: 4.618 6.210 4.073
angles: 90.00 114.80 90.00
Space group C2 (No. 5)
One atom of each set of equivalent atoms:
Sc  0.000  0.000  0.000 [2 per cell]
F  0.000  0.078  0.500 [2 per cell]
F  0.181  0.733  0.852 [4 per cell]

Largest 12 diffraction maxima, low angle first, 2θ from 10° to 90°:
24.07 deg, rel. 37; 25.64 deg, rel. 100; 28.49 deg, rel. 19; 28.75 deg, rel. 9; 41.39 deg, rel. 19; 46.97 deg, rel. 29; 49.08 deg, rel. 15; 49.61 deg, rel. 21; 50.77 deg, rel. 9; 52.68 deg, rel. 19; 58.07 deg, rel. 10; 58.95 deg, rel. 12

11.
This entry pairs a crystal structure of ScF3 with its calculated powder X-ray diffraction pattern. Radiation: Cu Kα. Structure: a structure optimized by DFT (GGA-PBE).
No peak broadening, texture or thermal motion is included.

Structure:
abc: 3.639 7.039 3.440
angles: 90.00 90.00 90.00
Space group C222 (No. 21)
One atom of each set of equivalent atoms:
Sc  0.000  0.000  0.000 [2 per cell]
F  0.000  0.500  0.500 [2 per cell]
F  0.250  0.250  0.813 [4 per cell]

Largest 12 diffraction maxima, low angle first, 2θ from 10° to 90°:
25.30 deg, rel. 9; 25.90 deg, rel. 22; 27.59 deg, rel. 14; 38.20 deg, rel. 100; 51.96 deg, rel. 17; 53.56 deg, rel. 32; 56.97 deg, rel. 25; 59.85 deg, rel. 16; 63.60 deg, rel. 6; 76.16 deg, rel. 7; 77.87 deg, rel. 9; 86.12 deg, rel. 6

12.
This entry pairs a crystal structure of Sr2ScF7 with its calculated powder X-ray diffraction pattern. Radiation: Cu Kα. Structure: a structure optimized by DFT (GGA-PBE).
No peak broadening, texture or thermal motion is included.

Structure:
abc: 5.546 12.324 8.337
angles: 90.00 90.43 90.00
Space group P2_1/c (No. 14)
One atom of each set of equivalent atoms:
Sr  0.235  0.061  0.323 [4 per cell]
Sr  0.235  0.720  0.448 [4 per cell]
Sc  0.278  0.126  0.784 [4 per cell]
F  0.015  0.245  0.303 [4 per cell]
F  0.016  0.105  0.591 [4 per cell]
F  0.199  0.136  0.024 [4 per cell]
F  0.199  0.537  0.290 [4 per cell]
F  0.386  0.575  0.629 [4 per cell]
F  0.487  0.230  0.292 [4 per cell]
F  0.488  0.105  0.575 [4 per cell]

Largest 12 diffraction maxima, low angle first, 2θ from 10° to 90°:
25.80 deg, rel. 28; 26.66 deg, rel. 27; 26.85 deg, rel. 34; 27.01 deg, rel. 100; 27.64 deg, rel. 43; 27.83 deg, rel. 25; 32.28 deg, rel. 30; 41.91 deg, rel. 29; 44.07 deg, rel. 47; 45.19 deg, rel. 36; 45.46 deg, rel. 29; 48.51 deg, rel. 32